Structure and theoretical X-ray powder pattern of Li2NdMoF8 (a DFT-relaxed cell (PBE+U, Alexandria); Cu Kα (λ = 1.5418 Å)).
Intensities are scaled so that the largest is 100.

Structural model:
a b c (Å): 4.103 5.165 7.464
angles (deg): 90.05 90.00 95.63
Fractional positions:
Li: 0.000 0.000 0.203
Li: 0.000 0.000 0.797
Nd: 0.500 0.500 0.500
Mo: 0.500 0.500 0.000
F: 0.068 0.752 0.500
F: 0.140 0.764 0.000
F: 0.366 0.264 0.228
F: 0.366 0.264 0.771
F: 0.634 0.736 0.229
F: 0.634 0.736 0.772
F: 0.860 0.236 0.000
F: 0.932 0.248 0.500

Principal peaks in the range 15° ≤ 2θ ≤ 90°, most intense first:
- (0 1 0), 2θ = 17.25°, I 100
- (0 1 -2), 2θ = 29.58°, I 56
- (1 1 2), 2θ = 38.07°, I 55
- (1 0 0), 2θ = 21.76°, I 52
- (1 -1 0), 2θ = 26.51°, I 48
- (0 0 2), 2θ = 23.84°, I 47
- (-1 2 2), 2θ = 46.71°, I 33
- (1 1 0), 2θ = 29.24°, I 31
- (1 2 2), 2θ = 50.12°, I 28
- (2 -1 0), 2θ = 46.20°, I 19